Diffraction record for Li2ScP2O8. The powder X-ray diffraction pattern is calculated, not measured: it uses a GGA-PBE-relaxed structure and λ = 1.5418 Å (Cu Kα).
Peak positions follow from Bragg's law for the DFT cell and can differ from measured ones.

Crystal structure
Unit cell a=5.033 b=8.421 c=8.405 alpha=90.00 beta=116.49 gamma=90.00
Space group P2_1/c (No. 14)
Asymmetric unit:
Li1 0.064 0.127 0.163 [4 per cell]
Sc1 0.000 0.000 0.500 [2 per cell]
P1 0.337 0.662 0.741 [4 per cell]
O1 0.184 0.674 0.198 [4 per cell]
O2 0.227 0.565 0.856 [4 per cell]
O3 0.258 0.563 0.569 [4 per cell]
O4 0.320 0.179 0.662 [4 per cell]

Principal peaks in the range 10 to 80 degrees two-theta, low angle first:
| 2θ/deg | I_rel | h k l |
| --- | --- | --- |
| 15.80 | 68 | 0 1 1 |
| 22.38 | 78 | 1 1 0 |
| 23.08 | 100 | 1 0 -2 |
| 24.22 | 71 | 0 2 1 |
| 25.41 | 36 | 1 1 -2 |
| 27.79 | 40 | 1 2 -1 |
| 29.26 | 61 | 1 1 1 |
| 31.90 | 70 | 0 2 2 |



Diffraction record for Li10SiP2O12. The powder X-ray diffraction pattern is calculated, not measured: it uses a GGA-PBE-relaxed structure and λ = 1.5418 Å (Cu Kα).
Peak positions follow from Bragg's law for the DFT cell and can differ from measured ones.

Crystal structure
Unit cell a=6.678 b=7.268 c=10.495 alpha=90.71 beta=90.58 gamma=90.09
Space group P1 (No. 1)
Asymmetric unit:
Li1 0.000 0.000 0.000 [1 per cell]
Li2 0.006 0.562 0.771 [1 per cell]
Li3 0.044 0.971 0.241 [1 per cell]
Li4 0.244 0.305 0.589 [1 per cell]
Li5 0.264 0.689 0.266 [1 per cell]
Li6 0.282 0.808 0.774 [1 per cell]
Li7 0.300 0.287 0.084 [1 per cell]
Li8 0.493 0.007 0.648 [1 per cell]
Li9 0.501 0.955 0.155 [1 per cell]
Li10 0.504 0.551 0.783 [1 per cell]
Li11 0.511 0.396 0.404 [1 per cell]
Li12 0.525 0.045 0.406 [1 per cell]
Li13 0.554 0.591 0.076 [1 per cell]
Li14 0.590 0.992 0.905 [1 per cell]
Li15 0.736 0.651 0.584 [1 per cell]
Li16 0.765 0.294 0.893 [1 per cell]
Li17 0.970 0.384 0.406 [1 per cell]
Li18 0.981 0.950 0.755 [1 per cell]
Li19 0.982 0.510 0.133 [1 per cell]
Li20 0.989 0.984 0.501 [1 per cell]
Si1 0.243 0.743 0.004 [1 per cell]
Si2 0.751 0.251 0.638 [1 per cell]
P1 0.253 0.238 0.839 [1 per cell]
P2 0.253 0.722 0.528 [1 per cell]
P3 0.743 0.226 0.162 [1 per cell]
P4 0.752 0.720 0.328 [1 per cell]
O1 0.059 0.768 0.898 [1 per cell]
O2 0.062 0.747 0.614 [1 per cell]
O3 0.065 0.230 0.923 [1 per cell]
O4 0.230 0.922 0.104 [1 per cell]
O5 0.250 0.554 0.089 [1 per cell]
O6 0.251 0.535 0.454 [1 per cell]
O7 0.252 0.417 0.759 [1 per cell]
O8 0.253 0.070 0.744 [1 per cell]
O9 0.256 0.885 0.432 [1 per cell]
O10 0.440 0.737 0.620 [1 per cell]
O11 0.444 0.232 0.924 [1 per cell]
O12 0.458 0.749 0.923 [1 per cell]
O13 0.545 0.226 0.547 [1 per cell]
O14 0.548 0.211 0.244 [1 per cell]
O15 0.565 0.728 0.239 [1 per cell]
O16 0.736 0.078 0.743 [1 per cell]
O17 0.738 0.399 0.077 [1 per cell]
O18 0.741 0.547 0.413 [1 per cell]
O19 0.746 0.049 0.075 [1 per cell]
O20 0.751 0.448 0.721 [1 per cell]
O21 0.757 0.893 0.416 [1 per cell]
O22 0.941 0.234 0.243 [1 per cell]
O23 0.947 0.712 0.249 [1 per cell]
O24 0.956 0.231 0.554 [1 per cell]

Principal peaks in the range 10 to 80 degrees two-theta, low angle first:
| 2θ/deg | I_rel | h k l |
| --- | --- | --- |
| 14.91 | 61 | 0 1 1 |
| 15.66 | 70 | 1 0 -1 |
| 15.80 | 63 | 1 0 1 |
| 18.04 | 84 | 1 1 0 |
| 24.50 | 90 | 0 2 0 |
| 24.80 | 100 | 1 -1 2 |
| 35.40 | 74 | 0 2 -3 |
| 35.85 | 68 | 0 2 3 |